RbCu2Tc: computed X-ray powder pattern (Cu Kα (λ = 1.5418 Å)), based on the GGA-PBE geometry in Alexandria.
Intensities are scaled so that the largest is 1000.

The 10 most intense peaks (2θ = 5–70°), low angle first:
Position (°2θ), I_rel
18.18, 465
26.86, 1000
35.27, 241
36.83, 235
40.23, 332
41.23, 309
42.04, 221
55.35, 381
58.33, 218
66.65, 145

Structural model:
Lattice parameters (Å, degrees): 9.3197 9.3197 9.3197 148.31 148.31 45.43
Fractional positions:
1 Rb 0.3750 0.6250 0.7500
2 Rb 0.6250 0.3750 0.2500
3 Cu 0.0000 0.0000 0.0000
4 Cu 0.0000 0.0000 0.5000
5 Cu 0.0000 0.5000 0.0000
6 Cu 0.5000 0.0000 0.5000
7 Tc 0.1250 0.8750 0.2500
8 Tc 0.8750 0.1250 0.7500